No. 1
Starting from a crystal structure in Alexandria, relaxed with GGA-PBE, the X-ray diffraction stick pattern of Fe4Ni5 was simulated for CuKα.
Kinematic intensities with the Lorentz-polarization factor, no thermal factor.

```
data_Fe4Ni5
_chemical_formula_sum 'Fe8 Ni10'
_cell_length_a 8.785
_cell_length_b 8.785
_cell_length_c 2.657
_cell_angle_alpha 90.00
_cell_angle_beta 90.00
_cell_angle_gamma 90.00
_symmetry_space_group_name_H-M 'I 4/m'
_symmetry_Int_Tables_number 87
_symmetry_space_group_name_Hall '-I 4'
loop_
_atom_site_label
_atom_site_fract_x
_atom_site_fract_y
_atom_site_fract_z
Fe1 0.030 0.334 0.000
Ni1 0.000 0.000 0.000
Ni2 0.151 0.819 0.500
```

Largest 8 diffraction maxima, sorted by position, 15 to 90 degrees two-theta:
2.201 Å, rel. 8, (1 2 1); 2.071 Å, rel. 48, (3 3 0); 1.968 Å, rel. 100, (3 0 1); 1.464 Å, rel. 12, (6 0 0); 1.329 Å, rel. 6, (0 0 2); 1.219 Å, rel. 7, (4 5 1); 1.175 Å, rel. 19, (6 3 1); 1.118 Å, rel. 11, (3 3 2)


No. 2
Starting from a crystal structure in Alexandria, relaxed with GGA-PBE, the X-ray diffraction stick pattern of Fe3Ni2 was simulated for CuKα.
Kinematic intensities with the Lorentz-polarization factor, no thermal factor.

```
data_Fe3Ni2
_chemical_formula_sum 'Fe6 Ni4'
_cell_length_a 2.515
_cell_length_b 3.549
_cell_length_c 12.811
_cell_angle_alpha 90.00
_cell_angle_beta 90.00
_cell_angle_gamma 90.00
_symmetry_space_group_name_H-M 'I m m m'
_symmetry_Int_Tables_number 71
_symmetry_space_group_name_Hall '-I 2 2'
loop_
_atom_site_label
_atom_site_fract_x
_atom_site_fract_y
_atom_site_fract_z
Fe1 0.000 0.000 0.000
Fe2 0.000 0.000 0.198
Ni1 0.000 0.000 0.401
```

Largest 7 diffraction maxima, sorted by position, 15 to 90 degrees two-theta:
2.077 Å, rel. 100, (0 1 5); 2.052 Å, rel. 96, (1 1 0); 1.795 Å, rel. 61, (1 0 5); 1.774 Å, rel. 30, (0 2 0); 1.281 Å, rel. 9, (0 0 10); 1.262 Å, rel. 34, (1 2 5); 1.258 Å, rel. 9, (2 0 0)


No. 3
Starting from a crystal structure in Alexandria, relaxed with GGA-PBE, the X-ray diffraction stick pattern of Fe13Ni3 was simulated for CuKα.
Kinematic intensities with the Lorentz-polarization factor, no thermal factor.

```
data_Fe13Ni3
_chemical_formula_sum 'Fe26 Ni6'
_cell_length_a 5.752
_cell_length_b 8.038
_cell_length_c 8.040
_cell_angle_alpha 90.00
_cell_angle_beta 90.00
_cell_angle_gamma 90.00
_symmetry_space_group_name_H-M 'A m m 2'
_symmetry_Int_Tables_number 38
_symmetry_space_group_name_Hall 'A 2 -2'
loop_
_atom_site_label
_atom_site_fract_x
_atom_site_fract_y
_atom_site_fract_z
Fe1 0.000 0.000 0.000
Fe2 0.000 0.000 0.497
Fe3 0.000 0.248 0.749
Fe4 0.249 0.000 0.749
Fe5 0.249 0.250 0.000
Fe6 0.500 0.000 0.502
Fe7 0.500 0.249 0.248
Ni1 0.253 0.000 0.252
Ni2 0.500 0.000 0.995
```

Largest 6 diffraction maxima, sorted by position, 15 to 90 degrees two-theta:
2.022 Å, rel. 100, (2 2 2); 2.010 Å, rel. 49, (0 4 0); 1.438 Å, rel. 8, (4 0 0); 1.421 Å, rel. 14, (0 4 4); 1.169 Å, rel. 14, (4 4 0); 1.163 Å, rel. 28, (2 6 2)


No. 4
Starting from a crystal structure in Alexandria, relaxed with GGA-PBE, the X-ray diffraction stick pattern of Fe4Ni3 was simulated for CuKα.
Kinematic intensities with the Lorentz-polarization factor, no thermal factor.

```
data_Fe4Ni3
_chemical_formula_sum 'Fe8 Ni6'
_cell_length_a 5.065
_cell_length_b 5.625
_cell_length_c 6.181
_cell_angle_alpha 68.77
_cell_angle_beta 89.43
_cell_angle_gamma 77.28
_symmetry_space_group_name_H-M 'P -1'
_symmetry_Int_Tables_number 2
_symmetry_space_group_name_Hall '-P 1'
loop_
_atom_site_label
_atom_site_fract_x
_atom_site_fract_y
_atom_site_fract_z
Fe1 0.000 0.000 0.000
Fe2 0.076 0.712 0.432
Fe3 0.217 0.142 0.289
Fe4 0.361 0.567 0.145
Fe5 0.500 0.000 0.000
Ni1 0.141 0.431 0.858
Ni2 0.286 0.858 0.714
Ni3 0.425 0.286 0.573
```

Largest 8 diffraction maxima, sorted by position, 15 to 90 degrees two-theta:
2.064 Å, rel. 100, (2 2 1); 2.060 Å, rel. 33, (0 1 3); 1.803 Å, rel. 21, (2 0 2); 1.778 Å, rel. 41, (0 3 2); 1.268 Å, rel. 6, (2 -3 0); 1.266 Å, rel. 12, (4 1 0); 1.264 Å, rel. 6, (2 3 4); 1.258 Å, rel. 12, (2 4 0)